(1)
Simulated X-ray powder pattern
Compound: NaAgHgSe2
Radiation: Cu Kα, 1.54184 Å
Structure: a crystal structure in Alexandria, relaxed with GGA-PBE

Peak list (6 most intense, 2θ from 10° to 80°, most intense first)
d_spacing, Position (°2θ), I_rel, (hkl)
3.020, 29.58, 100.0, 1 1 -2
3.250, 27.45, 94.8, 3 1 0
4.038, 22.01, 78.6, 2 0 -2
2.483, 36.18, 74.7, 5 1 -1
7.443, 11.89, 61.8, 2 0 0
1.954, 46.48, 60.6, 3 1 3

Atomic structure:
Cell lengths 15.326, 4.300, 8.494 Å; angles 90.00, 103.75, 90.00 degrees
Space group C2/m (No. 12)
Inequivalent atoms, fractional coordinates:
Na1 0.225 0.000 0.211 x4
Ag1 0.137 0.000 0.556 x4
Hg1 0.025 0.500 0.777 x4
Se1 0.131 0.000 0.863 x4
Se2 0.142 0.500 0.375 x4

***

(2)
Simulated X-ray powder pattern
Compound: NaAgHgTe2
Radiation: Cu Kα, 1.54184 Å
Structure: a crystal structure in Alexandria, relaxed with GGA-PBE

Peak list (6 most intense, 2θ from 10° to 80°, most intense first)
d_spacing, Position (°2θ), I_rel, (hkl)
4.250, 20.90, 100.0, 2 0 -2
3.189, 27.98, 61.8, 1 1 -2
3.483, 25.58, 59.3, 3 1 0
2.365, 38.05, 55.7, 5 1 1
2.307, 39.04, 46.4, 0 2 0
2.033, 44.56, 41.6, 3 1 3

Atomic structure:
Cell lengths 16.516, 4.614, 8.824 Å; angles 90.00, 105.34, 90.00 degrees
Space group C2/m (No. 12)
Inequivalent atoms, fractional coordinates:
Na1 0.235 0.000 0.227 x4
Ag1 0.144 0.000 0.561 x4
Hg1 0.026 0.500 0.778 x4
Te1 0.129 0.000 0.867 x4
Te2 0.142 0.500 0.380 x4

***

(3)
Simulated X-ray powder pattern
Compound: Nd2AgHg3
Radiation: Cu Kα, 1.54184 Å
Structure: a crystal structure in Alexandria, relaxed with GGA-PBE

Peak list (6 most intense, 2θ from 10° to 80°, most intense first)
d_spacing, Position (°2θ), I_rel, (hkl)
2.715, 32.99, 100.0, 2 0 4
2.500, 35.92, 95.9, 0 4 0
1.430, 65.27, 33.9, 4 4 0
1.839, 49.57, 32.0, 2 4 4
1.480, 62.76, 21.0, 2 2 10
2.031, 44.61, 19.0, 2 2 6

Atomic structure:
Cell lengths 6.970, 10.017, 17.292 Å; angles 90.00, 90.00, 90.00 degrees
Space group Fmmm (No. 69)
Inequivalent atoms, fractional coordinates:
Nd1 0.249 0.000 0.000 x8
Nd2 0.250 0.250 0.250 x8
Ag1 0.000 0.000 0.167 x8
Hg1 0.000 0.000 0.331 x8
Hg2 0.000 0.246 0.085 x16

***

(4)
Simulated X-ray powder pattern
Compound: Nd3Ag2Hg3
Radiation: Cu Kα, 1.54184 Å
Structure: a crystal structure in Alexandria, relaxed with GGA-PBE

Peak list (6 most intense, 2θ from 10° to 80°, most intense first)
d_spacing, Position (°2θ), I_rel, (hkl)
2.796, 32.01, 100.0, 1 1 1
2.557, 35.10, 70.0, 2 1 0
2.584, 34.72, 40.4, 2 0 1
1.576, 58.56, 32.3, 2 1 2
2.155, 41.92, 27.5, 2 1 1
1.447, 64.38, 19.8, 3 2 1

Atomic structure:
Cell lengths 7.8112, 7.8112, 4.0043 Å; angles 90.00, 90.00, 120.00 degrees
Space group P-62m (No. 189)
Inequivalent atoms, fractional coordinates:
Nd1 0.0000 0.3937 0.0000 x3
Ag1 0.3333 0.6667 0.5000 x2
Hg1 0.0000 0.7586 0.5000 x3

***

(5)
Simulated X-ray powder pattern
Compound: Nd4Ag3Hg2
Radiation: Cu Kα, 1.54184 Å
Structure: a crystal structure in Alexandria, relaxed with GGA-PBE

Peak list (6 most intense, 2θ from 10° to 80°, most intense first)
d_spacing, Position (°2θ), I_rel, (hkl)
2.613, 34.32, 100.0, 1 1 -3
2.801, 31.95, 62.1, 3 1 -1
2.539, 35.35, 53.1, 0 2 0
2.814, 31.80, 36.9, 3 1 0
3.132, 28.49, 25.7, 2 0 2
2.587, 34.67, 24.3, 3 1 1

Atomic structure:
Cell lengths 10.288, 5.078, 9.222 Å; angles 90.00, 99.69, 90.00 degrees
Space group C2/m (No. 12)
Inequivalent atoms, fractional coordinates:
Nd1 0.070 0.000 0.343 x4
Nd2 0.147 0.500 0.905 x4
Ag1 0.000 0.000 0.000 x2
Ag2 0.130 0.500 0.564 x4
Hg1 0.248 0.500 0.272 x4

***

(6)
Simulated X-ray powder pattern
Compound: Nd3Ag3Hg2
Radiation: Cu Kα, 1.54184 Å
Structure: a crystal structure in Alexandria, relaxed with GGA-PBE

Peak list (6 most intense, 2θ from 10° to 80°, most intense first)
d_spacing, Position (°2θ), I_rel, (hkl)
2.892, 30.92, 100.0, 1 1 4
2.552, 35.16, 80.3, 1 3 3
2.416, 37.22, 47.2, 2 0 0
2.333, 38.59, 33.1, 1 3 4
2.751, 32.55, 24.7, 0 4 1
1.751, 52.25, 23.6, 2 0 6

Atomic structure:
Cell lengths 4.831, 11.186, 15.236 Å; angles 90.00, 90.00, 90.00 degrees
Space group Cmcm (No. 63)
Inequivalent atoms, fractional coordinates:
Nd1 0.000 0.084 0.104 x8
Nd2 0.000 0.351 0.250 x4
Ag1 0.000 0.373 0.750 x4
Ag2 0.000 0.392 0.044 x8
Hg1 0.000 0.209 0.605 x8

***

(7)
Simulated X-ray powder pattern
Compound: Nd2AgHg5
Radiation: Cu Kα, 1.54184 Å
Structure: a crystal structure in Alexandria, relaxed with GGA-PBE

Peak list (6 most intense, 2θ from 10° to 80°, most intense first)
d_spacing, Position (°2θ), I_rel, (hkl)
2.587, 34.67, 100.0, 1 1 4
2.640, 33.96, 54.6, 2 0 0
1.514, 61.23, 39.1, 3 1 4
1.867, 48.79, 19.9, 2 2 0
1.484, 62.59, 16.5, 2 0 8
1.294, 73.16, 10.5, 2 2 8

Atomic structure:
Cell lengths 5.280, 5.280, 14.356 Å; angles 90.00, 90.00, 90.00 degrees
Space group I4/mmm (No. 139)
Inequivalent atoms, fractional coordinates:
Nd1 0.000 0.000 0.249 x4
Ag1 0.000 0.000 0.500 x2
Hg1 0.000 0.000 0.000 x2
Hg2 0.000 0.500 0.115 x8

***

(8)
Simulated X-ray powder pattern
Compound: Nd3AgHg
Radiation: Cu Kα, 1.54184 Å
Structure: a crystal structure in Alexandria, relaxed with GGA-PBE

Peak list (6 most intense, 2θ from 10° to 80°, most intense first)
d_spacing, Position (°2θ), I_rel, (hkl)
2.767, 32.36, 100.0, 1 5 1
2.679, 33.45, 49.4, 2 0 0
1.563, 59.11, 35.6, 3 5 1
1.894, 48.03, 17.9, 2 0 2
1.615, 57.01, 15.7, 2 10 0
1.383, 67.74, 9.3, 2 10 2

Atomic structure:
Cell lengths 5.356, 20.248, 5.359 Å; angles 90.00, 90.00, 90.00 degrees
Space group Cmcm (No. 63)
Inequivalent atoms, fractional coordinates:
Nd1 0.000 0.063 0.250 x4
Nd2 0.000 0.250 0.250 x4
Nd3 0.000 0.437 0.250 x4
Ag1 0.000 0.155 0.750 x4
Hg1 0.000 0.346 0.750 x4

***

(9)
Simulated X-ray powder pattern
Compound: Nd2AgHg
Radiation: Cu Kα, 1.54184 Å
Structure: a crystal structure in Alexandria, relaxed with GGA-PBE

Peak list (6 most intense, 2θ from 10° to 80°, most intense first)
d_spacing, Position (°2θ), I_rel, (hkl)
2.685, 33.37, 100.0, 2 2 0
1.550, 59.65, 37.5, 4 2 2
1.899, 47.92, 18.1, 4 0 0
1.201, 79.89, 16.3, 6 2 0
1.342, 70.10, 11.6, 4 4 0
4.384, 20.25, 4.5, 1 1 1

Atomic structure:
Cell lengths 7.594, 7.594, 7.594 Å; angles 90.00, 90.00, 90.00 degrees
Space group Fm-3m (No. 225)
Inequivalent atoms, fractional coordinates:
Nd1 0.250 0.250 0.250 x8
Ag1 0.000 0.000 0.000 x4
Hg1 0.000 0.000 0.500 x4

***

(10)
Simulated X-ray powder pattern
Compound: Nd4AgHg7
Radiation: Cu Kα, 1.54184 Å
Structure: a crystal structure in Alexandria, relaxed with GGA-PBE

Peak list (6 most intense, 2θ from 10° to 80°, most intense first)
d_spacing, Position (°2θ), I_rel, (hkl)
2.705, 33.12, 100.0, 3 1 1
2.699, 33.19, 53.0, 0 2 0
1.560, 59.23, 25.3, 3 3 1
3.003, 29.75, 23.7, 4 0 -3
2.545, 35.26, 21.2, 1 1 -3
2.630, 34.09, 18.7, 5 1 -1

Atomic structure:
Cell lengths 15.591, 5.398, 9.407 Å; angles 90.00, 123.67, 90.00 degrees
Space group C2/m (No. 12)
Inequivalent atoms, fractional coordinates:
Nd1 0.068 0.000 0.247 x4
Nd2 0.238 0.000 0.758 x4
Ag1 0.000 0.500 0.500 x2
Hg1 0.000 0.000 0.500 x2
Hg2 0.062 0.500 0.863 x4
Hg3 0.182 0.000 0.041 x4
Hg4 0.187 0.500 0.505 x4

***

(11)
Simulated X-ray powder pattern
Compound: SrNdAgHg
Radiation: Cu Kα, 1.54184 Å
Structure: a crystal structure in Alexandria, relaxed with GGA-PBE

Peak list (6 most intense, 2θ from 10° to 80°, most intense first)
d_spacing, Position (°2θ), I_rel, (hkl)
2.744, 32.63, 100.0, 1 1 0
1.583, 58.28, 24.8, 2 1 2
1.937, 46.90, 12.5, 2 0 0
1.226, 77.96, 10.9, 3 1 0
1.587, 58.14, 10.7, 1 1 4
7.784, 11.37, 10.7, 0 0 1

Atomic structure:
Cell lengths 3.875, 3.875, 7.784 Å; angles 90.00, 90.00, 90.00 degrees
Space group P4mm (No. 99)
Inequivalent atoms, fractional coordinates:
Sr1 0.000 0.000 0.000 x1
Nd1 0.000 0.000 0.509 x1
Ag1 0.500 0.500 0.727 x1
Hg1 0.500 0.500 0.275 x1

***

(12)
Simulated X-ray powder pattern
Compound: Tb2NdAgHg4
Radiation: Cu Kα, 1.54184 Å
Structure: a crystal structure in Alexandria, relaxed with GGA-PBE

Peak list (6 most intense, 2θ from 10° to 80°, most intense first)
d_spacing, Position (°2θ), I_rel, (hkl)
2.681, 33.42, 100.0, 0 1 8
2.550, 35.20, 94.7, 1 1 0
1.496, 62.03, 34.5, 1 2 8
1.848, 49.32, 33.8, 2 0 8
1.472, 63.16, 17.6, 3 0 0
1.576, 58.57, 15.8, 1 0 16

Atomic structure:
Cell lengths 5.0998, 5.0998, 26.9948 Å; angles 90.00, 90.00, 120.00 degrees
Space group R-3m (No. 166, hexagonal axes)
Inequivalent atoms, fractional coordinates:
Tb1 0.0000 0.0000 0.2393 x6
Nd1 0.0000 0.0000 0.0000 x3
Ag1 0.0000 0.0000 0.5000 x3
Hg1 0.0000 0.0000 0.1251 x6
Hg2 0.0000 0.0000 0.3797 x6